Entry 1:
Theoretical powder X-ray diffraction pattern of Sr2Li5Ca for a wavelength of 1.5418 Å, from a structure optimized by DFT (PBE).
Peak positions follow from Bragg's law for the DFT cell and can differ from measured ones.

Top 12 peaks for 15 to 90 degrees two-theta, in order of falling intensity:
31.79°, d 2.815, I 100; 21.94°, d 4.051, I 95; 24.75°, d 3.598, I 59; 31.23°, d 2.864, I 56; 22.72°, d 3.913, I 42; 38.97°, d 2.311, I 41; 55.93°, d 1.644, I 38; 51.85°, d 1.763, I 32; 33.31°, d 2.690, I 24; 23.06°, d 3.858, I 21; 44.74°, d 2.025, I 20; 50.37°, d 1.812, I 20

Structure:
abc: 5.729 5.729 15.653
angles: 90.00 90.00 90.00
Element x y z (fractional)
Sr (0.000, 0.000, 0.240)
Sr (0.000, 0.000, 0.760)
Sr (0.500, 0.500, 0.260)
Sr (0.500, 0.500, 0.740)
Li (0.000, 0.000, 0.000)
Li (0.000, 0.500, 0.104)
Li (0.000, 0.500, 0.396)
Li (0.000, 0.500, 0.604)
Li (0.000, 0.500, 0.896)
Li (0.500, 0.000, 0.104)
Li (0.500, 0.000, 0.396)
Li (0.500, 0.000, 0.604)
Li (0.500, 0.000, 0.896)
Li (0.500, 0.500, 0.500)
Ca (0.000, 0.000, 0.500)
Ca (0.500, 0.500, 0.000)

***

Entry 2:
Theoretical powder X-ray diffraction pattern of UPt4 for a wavelength of 1.5418 Å, from a structure optimized by DFT (PBE).
Peak positions follow from Bragg's law for the DFT cell and can differ from measured ones.

Top 12 peaks for 15 to 90 degrees two-theta, in order of falling intensity:
37.93°, d 2.372, I 100; 38.05°, d 2.365, I 98; 42.77°, d 2.114, I 40; 39.91°, d 2.259, I 32; 75.15°, d 1.264, I 28; 76.85°, d 1.240, I 25; 49.37°, d 1.846, I 25; 59.93°, d 1.544, I 20; 67.34°, d 1.391, I 20; 42.18°, d 2.143, I 16; 80.05°, d 1.199, I 13; 63.98°, d 1.455, I 12

Structure:
abc: 8.016 8.016 8.016
angles: 149.42 137.42 53.33
Element x y z (fractional)
U (0.367, 0.117, 0.250)
U (0.633, 0.883, 0.750)
Pt (0.000, 0.500, 0.500)
Pt (0.159, 0.909, 0.250)
Pt (0.174, 0.691, 0.483)
Pt (0.293, 0.309, 0.983)
Pt (0.500, 0.500, 0.000)
Pt (0.707, 0.691, 0.017)
Pt (0.826, 0.309, 0.517)
Pt (0.841, 0.091, 0.750)

***

Entry 3:
Theoretical powder X-ray diffraction pattern of TmMgScAl for a wavelength of 1.5418 Å, from a structure optimized by DFT (PBE).
Peak positions follow from Bragg's law for the DFT cell and can differ from measured ones.

Top 12 peaks for 15 to 90 degrees two-theta, in order of falling intensity:
35.79°, d 2.509, I 100; 21.69°, d 4.097, I 49; 25.10°, d 3.548, I 45; 64.32°, d 1.448, I 35; 42.24°, d 2.139, I 28; 58.14°, d 1.587, I 18; 51.52°, d 1.774, I 17; 86.81°, d 1.122, I 15; 44.22°, d 2.048, I 13; 56.53°, d 1.628, I 12; 75.85°, d 1.254, I 11; 80.00°, d 1.199, I 9

Structure:
abc: 7.096 7.096 7.096
angles: 90.00 90.00 90.00
Element x y z (fractional)
Tm (0.000, 0.000, 0.000)
Tm (0.000, 0.500, 0.500)
Tm (0.500, 0.000, 0.500)
Tm (0.500, 0.500, 0.000)
Mg (0.250, 0.250, 0.250)
Mg (0.250, 0.750, 0.750)
Mg (0.750, 0.250, 0.750)
Mg (0.750, 0.750, 0.250)
Sc (0.000, 0.000, 0.500)
Sc (0.000, 0.500, 0.000)
Sc (0.500, 0.000, 0.000)
Sc (0.500, 0.500, 0.500)
Al (0.250, 0.250, 0.750)
Al (0.250, 0.750, 0.250)
Al (0.750, 0.250, 0.250)
Al (0.750, 0.750, 0.750)

***

Entry 4:
Theoretical powder X-ray diffraction pattern of CaLa3Pr5 for a wavelength of 1.5418 Å, from a structure optimized by DFT (PBE).
Peak positions follow from Bragg's law for the DFT cell and can differ from measured ones.

Top 12 peaks for 15 to 90 degrees two-theta, in order of falling intensity:
30.06°, d 2.973, I 100; 30.26°, d 2.954, I 85; 53.50°, d 1.713, I 30; 43.17°, d 2.095, I 30; 60.00°, d 1.542, I 28; 53.38°, d 1.716, I 17; 39.27°, d 2.294, I 17; 70.99°, d 1.328, I 12; 76.65°, d 1.243, I 12; 24.69°, d 3.606, I 11; 62.48°, d 1.486, I 10; 29.24°, d 3.054, I 9

Structure:
abc: 10.298 10.298 7.213
angles: 90.00 90.00 60.00
Element x y z (fractional)
Ca (0.000, 0.000, 0.000)
Ca (0.000, 0.000, 0.500)
La (0.001, 0.686, 0.250)
La (0.314, 0.686, 0.750)
La (0.314, 0.999, 0.250)
La (0.686, 0.001, 0.750)
La (0.686, 0.314, 0.250)
La (0.999, 0.314, 0.750)
Pr (0.000, 0.355, 0.250)
Pr (0.000, 0.645, 0.750)
Pr (0.333, 0.333, 0.000)
Pr (0.333, 0.333, 0.500)
Pr (0.355, 0.000, 0.750)
Pr (0.355, 0.645, 0.250)
Pr (0.645, 0.000, 0.250)
Pr (0.645, 0.355, 0.750)
Pr (0.667, 0.667, 0.000)
Pr (0.667, 0.667, 0.500)

***

Entry 5:
Theoretical powder X-ray diffraction pattern of La12ScSn3 for a wavelength of 1.5418 Å, from a structure optimized by DFT (PBE).
Peak positions follow from Bragg's law for the DFT cell and can differ from measured ones.

Top 12 peaks for 15 to 90 degrees two-theta, in order of falling intensity:
30.61°, d 2.920, I 100; 35.56°, d 2.525, I 34; 60.81°, d 1.523, I 28; 51.03°, d 1.790, I 24; 35.38°, d 2.537, I 17; 60.57°, d 1.529, I 14; 63.74°, d 1.460, I 12; 51.16°, d 1.785, I 12; 83.20°, d 1.161, I 11; 83.41°, d 1.159, I 6; 86.11°, d 1.129, I 6; 86.01°, d 1.130, I 5

Structure:
abc: 5.050 5.050 20.297
angles: 90.00 90.00 90.00
Element x y z (fractional)
La (0.000, 0.000, 0.000)
La (0.000, 0.000, 0.248)
La (0.000, 0.000, 0.500)
La (0.000, 0.000, 0.752)
La (0.000, 0.500, 0.123)
La (0.000, 0.500, 0.372)
La (0.000, 0.500, 0.628)
La (0.000, 0.500, 0.877)
La (0.500, 0.000, 0.123)
La (0.500, 0.000, 0.372)
La (0.500, 0.000, 0.628)
La (0.500, 0.000, 0.877)
Sc (0.500, 0.500, 0.500)
Sn (0.500, 0.500, 0.000)
Sn (0.500, 0.500, 0.247)
Sn (0.500, 0.500, 0.753)